# 1
Simulated X-ray diffraction stick pattern
Compound: Pr4MgAgHg2
Radiation: copper Kα
Structure: a cell relaxed with GGA-PBE
Neutral-atom scattering factors, no anomalous dispersion.

Principal peaks in the range 10° ≤ 2θ ≤ 90°, in order of rising 2θ:
| hkl | 2θ (°) | d/Å | I/Imax |
| --- | --- | --- | --- |
| 0 0 6 | 19.96 | 4.447 | 12 |
| 1 1 0 | 32.89 | 2.723 | 100 |
| 1 1 6 | 38.78 | 2.322 | 7 |
| 1 1 9 | 45.19 | 2.006 | 5 |
| 2 0 8 | 47.20 | 1.926 | 17 |
| 1 0 16 | 58.62 | 1.575 | 7 |
| 3 0 0 | 58.75 | 1.572 | 28 |
| 2 2 0 | 69.04 | 1.360 | 6 |
| 2 1 16 | 78.49 | 1.219 | 6 |
| 3 1 8 | 78.59 | 1.217 | 8 |

Crystal structure
```
data_Pr4MgAgHg2
_chemical_formula_sum 'Pr12 Mg3 Ag3 Hg6'
_space_group_name_H-M_alt 'R -3 m'
_space_group_IT_number 166
_space_group_name_Hall '-R 3 2"'
_cell_length_a 5.4417
_cell_length_b 5.4417
_cell_length_c 26.7340
_cell_angle_alpha 90.00
_cell_angle_beta 90.00
_cell_angle_gamma 120.00
loop_
_atom_site_label
_atom_site_fract_x
_atom_site_fract_y
_atom_site_fract_z
Pr1 0.0000 0.0000 0.1198
Pr2 0.0000 0.0000 0.3711
Mg1 0.0000 0.0000 0.5000
Ag1 0.0000 0.0000 0.0000
Hg1 0.0000 0.0000 0.2420
```



# 2
Simulated X-ray diffraction stick pattern
Compound: Y2ZnSi4Pd3
Radiation: copper Kα
Structure: a cell relaxed with GGA-PBE
Neutral-atom scattering factors, no anomalous dispersion.

Principal peaks in the range 10° ≤ 2θ ≤ 90°, in order of rising 2θ:
| hkl | 2θ (°) | d/Å | I/Imax |
| --- | --- | --- | --- |
| 1 0 2 | 27.76 | 3.214 | 29 |
| 1 1 1 | 32.26 | 2.775 | 36 |
| 1 0 3 | 33.82 | 2.650 | 72 |
| 1 1 2 | 35.60 | 2.522 | 100 |
| 2 0 0 | 44.53 | 2.035 | 64 |
| 1 1 4 | 46.91 | 1.937 | 24 |
| 1 0 5 | 48.89 | 1.863 | 34 |
| 2 1 3 | 57.06 | 1.614 | 31 |
| 2 1 5 | 68.26 | 1.374 | 25 |
| 3 1 2 | 76.17 | 1.250 | 20 |

Crystal structure
```
data_Y2ZnSi4Pd3
_chemical_formula_sum 'Y2 Zn1 Si4 Pd3'
_space_group_name_H-M_alt 'P -4 m 2'
_space_group_IT_number 115
_cell_length_a 4.0697
_cell_length_b 4.0697
_cell_length_c 10.4764
_cell_angle_alpha 90.00
_cell_angle_beta 90.00
_cell_angle_gamma 90.00
loop_
_space_group_symop_operation_xyz
'x,y,z'
'y,-x,-z'
'-x,-y,z'
'-y,x,-z'
'-x,y,z'
'-y,-x,-z'
'x,-y,z'
'y,x,-z'
loop_
_atom_site_label
_atom_site_fract_x
_atom_site_fract_y
_atom_site_fract_z
Y1 0.0000 0.5000 0.2469
Zn1 0.5000 0.5000 0.0000
Si1 0.0000 0.0000 0.5000
Si2 0.0000 0.5000 0.8594
Si3 0.5000 0.5000 0.5000
Pd1 0.0000 0.0000 0.0000
Pd2 0.0000 0.5000 0.6295
```



# 3
Simulated X-ray diffraction stick pattern
Compound: Pm2Ho8Er
Radiation: copper Kα
Structure: a cell relaxed with GGA-PBE
Neutral-atom scattering factors, no anomalous dispersion.

Principal peaks in the range 10° ≤ 2θ ≤ 90°, in order of rising 2θ:
| hkl | 2θ (°) | d/Å | I/Imax |
| --- | --- | --- | --- |
| 1 1 2 | 30.90 | 2.894 | 100 |
| 6 0 1 | 35.82 | 2.507 | 51 |
| 6 2 1 | 51.57 | 1.772 | 36 |
| 1 3 2 | 61.33 | 1.511 | 43 |
| 2 2 4 | 64.38 | 1.447 | 12 |
| 8 0 -6 | 75.88 | 1.254 | 4 |
| 0 4 0 | 76.00 | 1.252 | 2 |
| 9 3 -4 | 84.18 | 1.150 | 18 |
| 14 0 -5 | 86.87 | 1.121 | 11 |
| 6 4 1 | 86.97 | 1.120 | 6 |

Crystal structure
```
data_Pm2Ho8Er
_chemical_formula_sum 'Pm4 Ho16 Er2'
_space_group_name_H-M_alt 'C 1 2/m 1'
_space_group_IT_number 12
_cell_length_a 18.0845
_cell_length_b 5.0089
_cell_length_c 7.9301
_cell_angle_alpha 90.00
_cell_angle_beta 105.29
_cell_angle_gamma 90.00
loop_
_space_group_symop_operation_xyz
'x,y,z'
'-x,-y,-z'
'-x,y,-z'
'x,-y,z'
'x+1/2,y+1/2,z'
'-x+1/2,-y+1/2,-z'
'-x+1/2,y+1/2,-z'
'x+1/2,-y+1/2,z'
loop_
_atom_site_label
_atom_site_fract_x
_atom_site_fract_y
_atom_site_fract_z
Pm1 0.2270 0.0000 0.1371
Ho1 0.0447 0.0000 0.2278
Ho2 0.0898 0.5000 0.9533
Ho3 0.1351 0.0000 0.6785
Ho4 0.1811 0.5000 0.4082
Er1 0.0000 0.5000 0.5000
```



# 4
Simulated X-ray diffraction stick pattern
Compound: La5SnSb4
Radiation: copper Kα
Structure: a cell relaxed with GGA-PBE
Neutral-atom scattering factors, no anomalous dispersion.

Principal peaks in the range 10° ≤ 2θ ≤ 90°, in order of rising 2θ:
| hkl | 2θ (°) | d/Å | I/Imax |
| --- | --- | --- | --- |
| 2 1 1 | 23.55 | 3.778 | 1 |
| 1 3 0 | 27.26 | 3.272 | 100 |
| 4 2 0 | 38.93 | 2.314 | 77 |
| 4 2 2 | 48.17 | 1.889 | 28 |
| 0 0 4 | 56.23 | 1.636 | 13 |
| 1 3 4 | 63.59 | 1.463 | 36 |
| 4 2 4 | 70.50 | 1.336 | 27 |
| 2 6 4 | 83.58 | 1.157 | 8 |
| 7 1 4 | 89.95 | 1.091 | 17 |

Crystal structure
```
data_La5SnSb4
_chemical_formula_sum 'La10 Sn2 Sb8'
_space_group_name_H-M_alt 'I 4/m'
_space_group_IT_number 87
_space_group_name_Hall '-I 4'
_cell_length_a 10.3511
_cell_length_b 10.3511
_cell_length_c 6.5384
_cell_angle_alpha 90.00
_cell_angle_beta 90.00
_cell_angle_gamma 90.00
loop_
_atom_site_label
_atom_site_fract_x
_atom_site_fract_y
_atom_site_fract_z
La1 0.0000 0.0000 0.0000
La2 0.1017 0.3028 0.5000
Sn1 0.0000 0.0000 0.5000
Sb1 0.0999 0.3002 0.0000
```



# 5
Simulated X-ray diffraction stick pattern
Compound: Rb2TmRu3O12
Radiation: copper Kα
Structure: a cell relaxed with GGA-PBE
Neutral-atom scattering factors, no anomalous dispersion.

Principal peaks in the range 10° ≤ 2θ ≤ 90°, in order of rising 2θ:
| hkl | 2θ (°) | d/Å | I/Imax |
| --- | --- | --- | --- |
| 1 0 1 | 14.77 | 5.998 | 61 |
| 0 1 5 | 27.72 | 3.218 | 62 |
| 1 1 3 | 28.30 | 3.153 | 100 |
| 0 0 6 | 28.62 | 3.119 | 51 |
| 2 0 2 | 29.79 | 2.999 | 74 |
| 1 2 5 | 44.97 | 2.016 | 23 |
| 3 0 3 | 45.36 | 1.999 | 31 |
| 2 0 8 | 48.43 | 1.880 | 33 |
| 2 2 0 | 49.88 | 1.828 | 40 |
| 2 2 6 | 58.54 | 1.577 | 19 |

Crystal structure
```
data_Rb2TmRu3O12
_chemical_formula_sum 'Rb6 Tm3 Ru9 O36'
_space_group_name_H-M_alt 'R -3 m'
_space_group_IT_number 166
_space_group_name_Hall '-R 3 2"'
_cell_length_a 7.3129
_cell_length_b 7.3129
_cell_length_c 18.6830
_cell_angle_alpha 90.00
_cell_angle_beta 90.00
_cell_angle_gamma 120.00
loop_
_atom_site_label
_atom_site_fract_x
_atom_site_fract_y
_atom_site_fract_z
Rb1 0.0000 0.0000 0.1164
Tm1 0.0000 0.0000 0.5000
Ru1 0.0000 0.5000 0.0000
O1 0.0497 0.5248 0.0988
O2 0.0787 0.5394 0.3456
```



# 6
Simulated X-ray diffraction stick pattern
Compound: Y2Ho3Sc7
Radiation: copper Kα
Structure: a cell relaxed with GGA-PBE
Neutral-atom scattering factors, no anomalous dispersion.

Principal peaks in the range 10° ≤ 2θ ≤ 90°, in order of rising 2θ:
| hkl | 2θ (°) | d/Å | I/Imax |
| --- | --- | --- | --- |
| 0 0 3 | 14.07 | 6.294 | 96 |
| 0 1 4 | 25.34 | 3.515 | 76 |
| 1 1 -1 | 30.65 | 2.917 | 42 |
| 1 1 -2 | 31.39 | 2.850 | 45 |
| 1 1 2 | 32.83 | 2.728 | 100 |
| 1 0 -5 | 33.21 | 2.698 | 84 |
| 0 2 0 | 34.04 | 2.634 | 70 |
| 1 1 -4 | 34.89 | 2.572 | 74 |
| 0 1 7 | 37.46 | 2.401 | 55 |
| 1 2 -5 | 48.31 | 1.884 | 36 |

Crystal structure
```
data_Y2Ho3Sc7
_chemical_formula_sum 'Y2 Ho3 Sc7'
_space_group_name_H-M_alt 'P 1 2/m 1'
_space_group_IT_number 10
_cell_length_a 3.5178
_cell_length_b 5.2681
_cell_length_c 18.9634
_cell_angle_alpha 90.00
_cell_angle_beta 95.33
_cell_angle_gamma 90.00
loop_
_space_group_symop_operation_xyz
'x,y,z'
'-x,-y,-z'
'-x,y,-z'
'x,-y,z'
loop_
_atom_site_label
_atom_site_fract_x
_atom_site_fract_y
_atom_site_fract_z
Y1 0.1374 0.0000 0.2736
Ho1 0.0000 0.0000 0.0000
Ho2 0.3251 0.5000 0.6510
Sc1 0.0816 0.5000 0.1623
Sc2 0.2167 0.0000 0.4334
Sc3 0.4329 0.0000 0.8667
Sc4 0.5000 0.5000 0.0000
```